Record 1
La6TeRh3: computed PXRD pattern (λ = 1.5418 Å (Cu Kα)), based on a PBE-relaxed structure.
Kinematic intensities with the Lorentz-polarization factor, no thermal factor.

Atomic structure:
abc: 12.179 4.249 12.451
angles: 90.00 107.51 90.00
Space group P2_1/m (No. 11)
Asymmetric unit:
La (0.023, 0.250, 0.391) (multiplicity 2)
La (0.110, 0.250, 0.952) (multiplicity 2)
La (0.206, 0.750, 0.260) (multiplicity 2)
La (0.283, 0.750, 0.775) (multiplicity 2)
La (0.347, 0.250, 0.539) (multiplicity 2)
La (0.425, 0.750, 0.095) (multiplicity 2)
Te (0.447, 0.250, 0.317) (multiplicity 2)
Rh (0.040, 0.250, 0.164) (multiplicity 2)
Rh (0.178, 0.750, 0.492) (multiplicity 2)
Rh (0.347, 0.250, 0.927) (multiplicity 2)

Top 8 peaks for 2θ = 10–90°, in order of falling intensity:
d = 3.040 Å, intensity 100, (2 0 -4); d = 3.149 Å, intensity 74, (2 1 1); d = 2.125 Å, intensity 53, (0 2 0); d = 2.862 Å, intensity 40, (3 1 0); d = 1.741 Å, intensity 40, (2 2 -4); d = 3.164 Å, intensity 39, (1 1 2); d = 2.322 Å, intensity 35, (4 1 -3); d = 2.675 Å, intensity 34, (1 1 3)

=====

Record 2
LaTh2Rh2: computed PXRD pattern (λ = 1.5418 Å (Cu Kα)), based on a PBE-relaxed structure.
Kinematic intensities with the Lorentz-polarization factor, no thermal factor.

Atomic structure:
abc: 7.299 7.299 6.187
angles: 90.00 125.96 90.00
Space group C2/m (No. 12)
Asymmetric unit:
La (0.000, 0.000, 0.000) (multiplicity 2)
Th (0.000, 0.250, 0.500) (multiplicity 4)
Rh (0.136, 0.500, 0.271) (multiplicity 4)

Top 8 peaks for 2θ = 10–90°, in order of falling intensity:
d = 2.949 Å, intensity 100, (2 0 -2); d = 2.581 Å, intensity 72, (2 2 -1); d = 5.008 Å, intensity 33, (0 0 1); d = 2.803 Å, intensity 28, (1 1 1); d = 1.825 Å, intensity 26, (0 4 0); d = 2.066 Å, intensity 24, (0 2 2); d = 1.552 Å, intensity 23, (2 4 -2); d = 2.294 Å, intensity 19, (2 2 0)

=====

Record 3
LaTh2Rh3: computed PXRD pattern (λ = 1.5418 Å (Cu Kα)), based on a PBE-relaxed structure.
Kinematic intensities with the Lorentz-polarization factor, no thermal factor.

Atomic structure:
abc: 8.254 11.643 24.704
angles: 90.00 90.00 90.00
Space group Fddd (No. 70, origin choice 2)
Asymmetric unit:
La (0.125, 0.125, 0.041) (multiplicity 16)
Th (0.125, 0.125, 0.375) (multiplicity 16)
Th (0.125, 0.125, 0.542) (multiplicity 16)
Rh (0.117, 0.375, 0.875) (multiplicity 16)
Rh (0.120, 0.369, 0.706) (multiplicity 32)

Top 8 peaks for 2θ = 10–90°, in order of falling intensity:
d = 2.913 Å, intensity 100, (2 0 6); d = 2.060 Å, intensity 62, (4 0 0); d = 1.303 Å, intensity 28, (2 0 18); d = 1.682 Å, intensity 26, (4 4 0); d = 1.189 Å, intensity 17, (2 4 18); d = 3.364 Å, intensity 16, (2 2 0); d = 2.059 Å, intensity 12, (0 0 12); d = 1.191 Å, intensity 8, (6 4 6)